(1)
Computed powder diffraction line list
Compound: Na5Tl5In2
Radiation: Cu Ka
Structure: the PBE geometry in Alexandria
Lines closer than 0.1° are merged.

Main lines, sorted by position (10° ≤ 2θ ≤ 90°):
2θ (°)  d (Å)  I (rel.)
19.3  4.596  48
19.7  4.500  23
24.9  3.570  17
32.1  2.789  100
32.3  2.774  99
36.4  2.466  36
37.0  2.430  47
38.6  2.334  30
52.9  1.731  25
54.1  1.695  22

Crystal structure
a = 7.4252 Å, b = 7.4252 Å, c = 10.7562 Å
α = 113.76°, β = 113.76°, γ = 38.80°
Atoms (fractional coordinates):
1 Na 0.0000 0.0000 0.0000
2 Na 0.0904 0.0904 0.7537
3 Na 0.1625 0.1625 0.4958
4 Na 0.8375 0.8375 0.5042
5 Na 0.9096 0.9096 0.2463
6 Tl 0.2422 0.2422 0.2510
7 Tl 0.3388 0.3388 0.0074
8 Tl 0.5000 0.5000 0.5000
9 Tl 0.6612 0.6612 0.9926
10 Tl 0.7578 0.7578 0.7490
11 In 0.4161 0.4161 0.7498
12 In 0.5839 0.5839 0.2502

=====

(2)
Computed powder diffraction line list
Compound: Na6Tl12In
Radiation: Cu Ka
Structure: the PBE geometry in Alexandria
Lines closer than 0.1° are merged.

Main lines, sorted by position (10° ≤ 2θ ≤ 90°):
2θ (°)  d (Å)  I (rel.)
17.2  5.158  15
20.9  4.243  17
31.3  2.854  35
31.9  2.802  100
36.9  2.437  68
52.7  1.735  25
53.5  1.712  24
62.7  1.483  15
63.4  1.468  29
63.7  1.461  15

Crystal structure
a = 9.0756 Å, b = 9.0756 Å, c = 9.0756 Å
α = 110.59°, β = 110.59°, γ = 110.59°
Atoms (fractional coordinates):
1 Na 0.0616 0.3653 0.5798
2 Na 0.3653 0.5798 0.0616
3 Na 0.4202 0.9384 0.6347
4 Na 0.5798 0.0616 0.3653
5 Na 0.6347 0.4202 0.9384
6 Na 0.9384 0.6347 0.4202
7 Tl 0.1046 0.7402 0.1625
8 Tl 0.1625 0.1046 0.7402
9 Tl 0.2065 0.4709 0.3188
10 Tl 0.2598 0.8375 0.8954
11 Tl 0.3188 0.2065 0.4709
12 Tl 0.4709 0.3188 0.2065
13 Tl 0.5291 0.6812 0.7935
14 Tl 0.6812 0.7935 0.5291
15 Tl 0.7402 0.1625 0.1046
16 Tl 0.7935 0.5291 0.6812
17 Tl 0.8375 0.8954 0.2598
18 Tl 0.8954 0.2598 0.8375
19 In 0.0000 0.0000 0.0000

=====

(3)
Computed powder diffraction line list
Compound: NaTl4In12
Radiation: Cu Ka
Structure: the PBE geometry in Alexandria
Lines closer than 0.1° are merged.

Main lines, sorted by position (10° ≤ 2θ ≤ 90°):
2θ (°)  d (Å)  I (rel.)
17.2  5.162  35
24.4  3.650  41
27.3  3.265  100
30.0  2.980  20
32.4  2.759  25
39.0  2.309  92
42.9  2.107  55
44.8  2.025  46
56.4  1.632  20
62.3  1.490  19

Crystal structure
a = 8.9441 Å, b = 8.9441 Å, c = 8.9441 Å
α = 109.50°, β = 109.50°, γ = 109.50°
Atoms (fractional coordinates):
1 Na 0.0000 0.0000 0.0000
2 Tl 0.0000 0.0000 0.5000
3 Tl 0.0000 0.5000 0.0000
4 Tl 0.5000 0.0000 0.0000
5 Tl 0.5000 0.5000 0.5000
6 In 0.1460 0.5011 0.3552
7 In 0.1457 0.7907 0.6446
8 In 0.2093 0.3554 0.8543
9 In 0.3552 0.1460 0.5011
10 In 0.3554 0.8543 0.2093
11 In 0.4989 0.6448 0.8540
12 In 0.5011 0.3552 0.1460
13 In 0.6446 0.1457 0.7907
14 In 0.6448 0.8540 0.4989
15 In 0.7907 0.6446 0.1457
16 In 0.8543 0.2093 0.3554
17 In 0.8540 0.4989 0.6448

=====

(4)
Computed powder diffraction line list
Compound: Na6Tl8In
Radiation: Cu Ka
Structure: the PBE geometry in Alexandria
Lines closer than 0.1° are merged.

Main lines, sorted by position (10° ≤ 2θ ≤ 90°):
2θ (°)  d (Å)  I (rel.)
16.2  5.455  45
22.2  4.006  45
22.9  3.880  21
31.7  2.826  69
32.0  2.796  100
32.2  2.779  52
35.5  2.529  38
36.9  2.435  34
38.8  2.321  30
66.2  1.412  19

Crystal structure
a = 6.1209 Å, b = 8.8099 Å, c = 8.8825 Å
α = 76.17°, β = 72.99°, γ = 71.58°
Atoms (fractional coordinates):
1 Na 0.1994 0.2717 0.1588
2 Na 0.2031 0.6035 0.4973
3 Na 0.2043 0.9348 0.8294
4 Na 0.7957 0.0652 0.1706
5 Na 0.7969 0.3965 0.5027
6 Na 0.8006 0.7283 0.8412
7 Tl 0.0002 0.3325 0.8318
8 Tl 0.9998 0.6675 0.1682
9 Tl 0.3901 0.8713 0.1743
10 Tl 0.3911 0.1995 0.4973
11 Tl 0.3988 0.5313 0.8346
12 Tl 0.6012 0.4687 0.1654
13 Tl 0.6089 0.8005 0.5027
14 Tl 0.6099 0.1287 0.8257
15 In 0.0000 0.0000 0.5000

=====

(5)
Computed powder diffraction line list
Compound: Na2YTl2In
Radiation: Cu Ka
Structure: the PBE geometry in Alexandria
Lines closer than 0.1° are merged.

Main lines, sorted by position (10° ≤ 2θ ≤ 90°):
2θ (°)  d (Å)  I (rel.)
20.7  4.299  41
22.2  4.003  70
24.0  3.715  70
24.1  3.693  40
32.0  2.801  100
33.8  2.651  99
37.3  2.408  64
41.3  2.187  34
42.0  2.153  34
42.3  2.136  36

Crystal structure
a = 4.8174 Å, b = 9.5259 Å, c = 7.3852 Å
α = 90.00°, β = 90.00°, γ = 90.00°
Atoms (fractional coordinates):
1 Na 0.0000 0.0562 0.0000
2 Na 0.0000 0.9438 0.5000
3 Na 0.5000 0.1764 0.2963
4 Na 0.5000 0.8236 0.7963
5 Y 0.5000 0.4642 0.9330
6 Y 0.5000 0.5358 0.4330
7 Tl 0.0000 0.3696 0.2011
8 Tl 0.0000 0.6304 0.7011
9 Tl 0.5000 0.1517 0.7361
10 Tl 0.5000 0.8483 0.2361
11 In 0.0000 0.3203 0.6157
12 In 0.0000 0.6797 0.1157

=====

(6)
Computed powder diffraction line list
Compound: Na3Zn8In
Radiation: Cu Ka
Structure: the PBE geometry in Alexandria
Lines closer than 0.1° are merged.

Main lines, sorted by position (10° ≤ 2θ ≤ 90°):
2θ (°)  d (Å)  I (rel.)
10.1  8.783  29
20.1  4.417  42
38.7  2.328  55
38.9  2.312  77
39.1  2.302  51
39.3  2.292  100
40.4  2.231  43
40.9  2.208  83
41.1  2.196  41
69.7  1.349  41

Crystal structure
a = 5.4655 Å, b = 5.4655 Å, c = 9.3663 Å
α = 107.61°, β = 107.61°, γ = 58.91°
Atoms (fractional coordinates):
1 Na 0.0000 0.0000 0.0000
2 Na 0.1254 0.1254 0.3758
3 Na 0.5013 0.5013 0.4999
4 Zn 0.0625 0.0625 0.6869
5 Zn 0.0637 0.5608 0.1878
6 Zn 0.0642 0.5634 0.6873
7 Zn 0.3139 0.3139 0.9398
8 Zn 0.5608 0.0637 0.1878
9 Zn 0.5634 0.0642 0.6873
10 Zn 0.5625 0.5625 0.1875
11 Zn 0.8137 0.8137 0.4367
12 In 0.6246 0.6246 0.8746

=====

(7)
Computed powder diffraction line list
Compound: NaZnIn3
Radiation: Cu Ka
Structure: the PBE geometry in Alexandria
Lines closer than 0.1° are merged.

Main lines, sorted by position (10° ≤ 2θ ≤ 90°):
2θ (°)  d (Å)  I (rel.)
14.6  6.085  62
22.9  3.888  40
30.7  2.915  100
30.9  2.892  58
31.6  2.834  84
36.4  2.469  70
38.6  2.332  46
38.9  2.313  69
40.1  2.247  52
56.0  1.642  38

Crystal structure
a = 7.4776 Å, b = 4.6265 Å, c = 7.7258 Å
α = 90.00°, β = 106.44°, γ = 90.00°
Atoms (fractional coordinates):
1 Na 0.1868 0.2500 0.1706
2 Na 0.8132 0.7500 0.8294
3 Zn 0.4673 0.2500 0.7501
4 Zn 0.5327 0.7500 0.2499
5 In 0.0686 0.2500 0.6591
6 In 0.3045 0.7500 0.9049
7 In 0.3478 0.7500 0.5167
8 In 0.6522 0.2500 0.4833
9 In 0.6955 0.2500 0.0951
10 In 0.9314 0.7500 0.3409

=====

(8)
Computed powder diffraction line list
Compound: Na2ZnIn6
Radiation: Cu Ka
Structure: the PBE geometry in Alexandria
Lines closer than 0.1° are merged.

Main lines, sorted by position (10° ≤ 2θ ≤ 90°):
2θ (°)  d (Å)  I (rel.)
15.1  5.869  11
21.1  4.215  30
29.5  3.028  14
30.2  2.957  11
30.5  2.935  15
33.9  2.641  100
40.7  2.218  11
42.9  2.107  33
54.1  1.694  20
65.5  1.426  13

Crystal structure
a = 6.7781 Å, b = 6.7781 Å, c = 6.0562 Å
α = 90.00°, β = 90.00°, γ = 59.97°
Atoms (fractional coordinates):
1 Na 0.1671 0.1671 0.1751
2 Na 0.8329 0.8329 0.8249
3 Zn 0.5000 0.5000 0.0000
4 In 0.1454 0.6786 0.3094
5 In 0.3214 0.8546 0.6906
6 In 0.3216 0.3216 0.6920
7 In 0.6784 0.6784 0.3080
8 In 0.6786 0.1454 0.3094
9 In 0.8546 0.3214 0.6906

=====

Q: Number 3 is which compound?
A: NaTl4In12